1.
The following is a calculated X-ray diffraction stick pattern of Ca2InAu7. It was derived from a DFT-relaxed cell (PBE, Alexandria), using Cu Kα, 1.54184 Å.

Main lines, in order of rising 2θ (2θ = 15–90°):
Position (°2θ)  d (Å)  I/Imax
22.94  3.876  76
34.00  2.637  100
39.84  2.262  45
41.19  2.191  86
44.84  2.021  54
61.35  1.511  28
61.52  1.507  25
80.17  1.197  26

Structure:
```
data_Ca2InAu7
_space_group_name_H-M_alt 'P 1'
_space_group_IT_number 1
_cell_length_a 4.0428
_cell_length_b 4.0428
_cell_length_c 13.6497
_cell_angle_alpha 90.00
_cell_angle_beta 90.00
_cell_angle_gamma 90.00
loop_
_space_group_symop_operation_xyz
'x,y,z'
loop_
_atom_site_label
_atom_site_fract_x
_atom_site_fract_y
_atom_site_fract_z
_atom_site_occupancy
Ca1 0.0000 0.5000 0.2376 1
Ca2 0.5000 0.0000 0.7624 1
In1 0.0000 0.0000 0.5000 1
Au1 0.0000 0.0000 0.0000 1
Au2 0.0000 0.5000 0.6529 1
Au3 0.0000 0.5000 0.8512 1
Au4 0.5000 0.0000 0.1488 1
Au5 0.5000 0.0000 0.3471 1
Au6 0.5000 0.5000 0.0000 1
Au7 0.5000 0.5000 0.5000 1
```

---

2.
The following is a calculated X-ray diffraction stick pattern of Ca3In4Au2. It was derived from a DFT-relaxed cell (PBE, Alexandria), using Cu Kα, 1.54184 Å.

Main lines, in order of rising 2θ (2θ = 15–90°):
Position (°2θ)  d (Å)  I/Imax
21.16  4.199  60
23.86  3.729  70
32.06  2.792  39
32.16  2.783  48
36.59  2.456  100
37.36  2.407  53
44.03  2.056  31
44.81  2.022  36

Structure:
```
data_Ca3In4Au2
_space_group_name_H-M_alt 'P 1'
_space_group_IT_number 1
_cell_length_a 6.1854
_cell_length_b 6.1854
_cell_length_c 9.3202
_cell_angle_alpha 113.40
_cell_angle_beta 113.40
_cell_angle_gamma 45.80
loop_
_space_group_symop_operation_xyz
'x,y,z'
loop_
_atom_site_label
_atom_site_fract_x
_atom_site_fract_y
_atom_site_fract_z
_atom_site_occupancy
Ca1 0.0000 0.0000 0.0000 1
Ca2 0.3163 0.3163 0.3608 1
Ca3 0.6837 0.6837 0.6392 1
In1 0.0190 0.0190 0.3562 1
In2 0.2649 0.2649 0.9210 1
In3 0.7351 0.7351 0.0790 1
In4 0.9810 0.9810 0.6438 1
Au1 0.4047 0.4047 0.7347 1
Au2 0.5953 0.5953 0.2653 1
```

---

3.
The following is a calculated X-ray diffraction stick pattern of Ca3In7Au2. It was derived from a DFT-relaxed cell (PBE, Alexandria), using Cu Kα, 1.54184 Å.

Main lines, in order of rising 2θ (2θ = 15–90°):
Position (°2θ)  d (Å)  I/Imax
16.98  5.222  71
34.78  2.579  100
37.33  2.409  41
37.73  2.384  28
40.51  2.227  36
55.35  1.660  26
60.37  1.533  25
73.42  1.290  23

Structure:
```
data_Ca3In7Au2
_space_group_name_H-M_alt 'P 1'
_space_group_IT_number 1
_cell_length_a 10.1728
_cell_length_b 10.1728
_cell_length_c 10.1728
_cell_angle_alpha 35.09
_cell_angle_beta 35.09
_cell_angle_gamma 35.09
loop_
_space_group_symop_operation_xyz
'x,y,z'
loop_
_atom_site_label
_atom_site_fract_x
_atom_site_fract_y
_atom_site_fract_z
_atom_site_occupancy
Ca1 0.0000 0.0000 0.0000 1
Ca2 0.1420 0.1420 0.1420 1
Ca3 0.8580 0.8580 0.8580 1
In1 0.0720 0.5843 0.5843 1
In2 0.4157 0.4157 0.9280 1
In3 0.4157 0.9280 0.4157 1
In4 0.5000 0.5000 0.5000 1
In5 0.5843 0.0720 0.5843 1
In6 0.5843 0.5843 0.0720 1
In7 0.9280 0.4157 0.4157 1
Au1 0.3360 0.3360 0.3360 1
Au2 0.6640 0.6640 0.6640 1
```

---

4.
The following is a calculated X-ray diffraction stick pattern of Ca4In5Au6. It was derived from a DFT-relaxed cell (PBE, Alexandria), using Cu Kα, 1.54184 Å.

Main lines, in order of rising 2θ (2θ = 15–90°):
Position (°2θ)  d (Å)  I/Imax
19.89  4.463  42
20.33  4.369  32
23.84  3.733  46
33.87  2.647  100
36.77  2.444  33
37.68  2.387  37
39.52  2.280  67
39.64  2.274  81

Structure:
```
data_Ca4In5Au6
_space_group_name_H-M_alt 'P 1'
_space_group_IT_number 1
_cell_length_a 11.1149
_cell_length_b 11.1149
_cell_length_c 14.6647
_cell_angle_alpha 90.00
_cell_angle_beta 90.00
_cell_angle_gamma 156.33
loop_
_space_group_symop_operation_xyz
'x,y,z'
loop_
_atom_site_label
_atom_site_fract_x
_atom_site_fract_y
_atom_site_fract_z
_atom_site_occupancy
Ca1 0.0360 0.9640 0.5000 1
Ca2 0.0525 0.9475 0.7711 1
Ca3 0.1397 0.8603 0.2782 1
Ca4 0.1784 0.8216 0.9443 1
Ca5 0.8216 0.1784 0.4443 1
Ca6 0.8603 0.1397 0.7782 1
Ca7 0.9475 0.0525 0.2711 1
Ca8 0.9640 0.0360 0.0000 1
In1 0.1785 0.8215 0.6220 1
In2 0.3213 0.6787 0.2846 1
In3 0.3257 0.6743 0.6053 1
In4 0.3445 0.6555 0.9462 1
In5 0.4718 0.5282 0.6513 1
In6 0.5282 0.4718 0.1513 1
In7 0.6555 0.3445 0.4462 1
In8 0.6743 0.3257 0.1053 1
In9 0.6787 0.3213 0.7846 1
In10 0.8215 0.1785 0.1220 1
Au1 0.0906 0.9094 0.0924 1
Au2 0.2329 0.7671 0.4460 1
Au3 0.2626 0.7373 0.7768 1
Au4 0.4006 0.5994 0.1253 1
Au5 0.4226 0.5774 0.4275 1
Au6 0.4572 0.5428 0.8471 1
Au7 0.5428 0.4572 0.3471 1
Au8 0.5774 0.4226 0.9275 1
Au9 0.5994 0.4006 0.6253 1
Au10 0.7373 0.2626 0.2768 1
Au11 0.7671 0.2329 0.9460 1
Au12 0.9094 0.0906 0.5924 1
```

---

5.
The following is a calculated X-ray diffraction stick pattern of Ca2In3Au9. It was derived from a DFT-relaxed cell (PBE, Alexandria), using Cu Kα, 1.54184 Å.

Main lines, in order of rising 2θ (2θ = 15–90°):
Position (°2θ)  d (Å)  I/Imax
15.10  5.868  24
34.01  2.636  39
34.40  2.607  100
37.57  2.394  64
38.59  2.333  28
41.70  2.166  30
41.86  2.158  27
67.13  1.394  24

Structure:
```
data_Ca2In3Au9
_space_group_name_H-M_alt 'P 1'
_space_group_IT_number 1
_cell_length_a 8.1548
_cell_length_b 8.1548
_cell_length_c 10.1768
_cell_angle_alpha 90.00
_cell_angle_beta 90.00
_cell_angle_gamma 61.72
loop_
_space_group_symop_operation_xyz
'x,y,z'
loop_
_atom_site_label
_atom_site_fract_x
_atom_site_fract_y
_atom_site_fract_z
_atom_site_occupancy
Ca1 0.0037 0.6766 0.7500 1
Ca2 0.3234 0.9963 0.7500 1
Ca3 0.6766 0.0037 0.2500 1
Ca4 0.9963 0.3234 0.2500 1
In1 0.0000 0.0000 0.0000 1
In2 0.0000 0.0000 0.5000 1
In3 0.3177 0.3177 0.0000 1
In4 0.3177 0.3177 0.5000 1
In5 0.6823 0.6823 0.0000 1
In6 0.6823 0.6823 0.5000 1
Au1 0.0151 0.6540 0.0903 1
Au2 0.0151 0.6540 0.4097 1
Au3 0.1332 0.8668 0.2500 1
Au4 0.3299 0.6701 0.5708 1
Au5 0.3299 0.6701 0.9292 1
Au6 0.3460 0.9849 0.0903 1
Au7 0.3460 0.9849 0.4097 1
Au8 0.3568 0.4344 0.2500 1
Au9 0.4344 0.3568 0.7500 1
Au10 0.5656 0.6432 0.2500 1
Au11 0.6432 0.5656 0.7500 1
Au12 0.6540 0.0151 0.5903 1
Au13 0.6540 0.0151 0.9097 1
Au14 0.6701 0.3299 0.0708 1
Au15 0.6701 0.3299 0.4292 1
Au16 0.8668 0.1332 0.7500 1
Au17 0.9849 0.3460 0.5903 1
Au18 0.9849 0.3460 0.9097 1
```

---

6.
The following is a calculated X-ray diffraction stick pattern of Ca5InAu4. It was derived from a DFT-relaxed cell (PBE, Alexandria), using Cu Kα, 1.54184 Å.

Main lines, in order of rising 2θ (2θ = 15–90°):
Position (°2θ)  d (Å)  I/Imax
23.58  3.774  25
24.43  3.644  47
34.21  2.621  100
34.82  2.577  51
42.48  2.128  23
50.07  1.822  18
60.85  1.522  15
62.04  1.496  35

Structure:
```
data_Ca5InAu4
_space_group_name_H-M_alt 'P 1'
_space_group_IT_number 1
_cell_length_a 3.6437
_cell_length_b 3.6437
_cell_length_c 18.8687
_cell_angle_alpha 90.00
_cell_angle_beta 90.00
_cell_angle_gamma 90.00
loop_
_space_group_symop_operation_xyz
'x,y,z'
loop_
_atom_site_label
_atom_site_fract_x
_atom_site_fract_y
_atom_site_fract_z
_atom_site_occupancy
Ca1 0.0000 0.0000 0.0000 1
Ca2 0.0000 0.0000 0.1920 1
Ca3 0.0000 0.0000 0.3838 1
Ca4 0.0000 0.0000 0.6162 1
Ca5 0.0000 0.0000 0.8080 1
In1 0.5000 0.5000 0.5000 1
Au1 0.5000 0.5000 0.0961 1
Au2 0.5000 0.5000 0.2896 1
Au3 0.5000 0.5000 0.7104 1
Au4 0.5000 0.5000 0.9039 1
```

---

Repeat the fifth record exactly.
The following is a calculated X-ray diffraction stick pattern of Ca2In3Au9. It was derived from a DFT-relaxed cell (PBE, Alexandria), using Cu Kα, 1.54184 Å.

Main lines, in order of rising 2θ (2θ = 15–90°):
Position (°2θ)  d (Å)  I/Imax
15.10  5.868  24
34.01  2.636  39
34.40  2.607  100
37.57  2.394  64
38.59  2.333  28
41.70  2.166  30
41.86  2.158  27
67.13  1.394  24

Structure:
```
data_Ca2In3Au9
_space_group_name_H-M_alt 'P 1'
_space_group_IT_number 1
_cell_length_a 8.1548
_cell_length_b 8.1548
_cell_length_c 10.1768
_cell_angle_alpha 90.00
_cell_angle_beta 90.00
_cell_angle_gamma 61.72
loop_
_space_group_symop_operation_xyz
'x,y,z'
loop_
_atom_site_label
_atom_site_fract_x
_atom_site_fract_y
_atom_site_fract_z
_atom_site_occupancy
Ca1 0.0037 0.6766 0.7500 1
Ca2 0.3234 0.9963 0.7500 1
Ca3 0.6766 0.0037 0.2500 1
Ca4 0.9963 0.3234 0.2500 1
In1 0.0000 0.0000 0.0000 1
In2 0.0000 0.0000 0.5000 1
In3 0.3177 0.3177 0.0000 1
In4 0.3177 0.3177 0.5000 1
In5 0.6823 0.6823 0.0000 1
In6 0.6823 0.6823 0.5000 1
Au1 0.0151 0.6540 0.0903 1
Au2 0.0151 0.6540 0.4097 1
Au3 0.1332 0.8668 0.2500 1
Au4 0.3299 0.6701 0.5708 1
Au5 0.3299 0.6701 0.9292 1
Au6 0.3460 0.9849 0.0903 1
Au7 0.3460 0.9849 0.4097 1
Au8 0.3568 0.4344 0.2500 1
Au9 0.4344 0.3568 0.7500 1
Au10 0.5656 0.6432 0.2500 1
Au11 0.6432 0.5656 0.7500 1
Au12 0.6540 0.0151 0.5903 1
Au13 0.6540 0.0151 0.9097 1
Au14 0.6701 0.3299 0.0708 1
Au15 0.6701 0.3299 0.4292 1
Au16 0.8668 0.1332 0.7500 1
Au17 0.9849 0.3460 0.5903 1
Au18 0.9849 0.3460 0.9097 1
```